(1)
This entry pairs a crystal structure of Cs2CdGe3S8 with its calculated PXRD pattern. Radiation: Cu Ka. Structure: a DFT-relaxed cell (PBE, Alexandria).

The 10 most intense peaks (10 to 90 degrees two-theta), in order of falling intensity:
| (hkl) | Position (°2θ) | intensity |
| --- | --- | --- |
| 2 1 2 | 26.55 | 100 |
| 0 2 0 | 13.05 | 71 |
| 1 2 2 | 20.36 | 70 |
| 0 2 5 | 28.94 | 68 |
| 0 3 3 | 25.01 | 49 |
| 0 3 2 | 22.17 | 44 |
| 1 3 0 | 22.91 | 38 |
| 1 2 3 | 23.42 | 36 |
| 4 0 0 | 48.12 | 30 |
| 2 4 5 | 44.40 | 27 |

Cell and atoms:
abc: 7.563 13.568 17.321
angles: 90.00 90.00 90.00
Space group P2_12_12_1 (No. 19)
One atom of each set of equivalent atoms:
Cs  0.224  0.212  0.350
Cs  0.246  0.136  0.942
Cd  0.027  0.993  0.650
Ge  0.030  0.534  0.347
Ge  0.227  0.548  0.681
Ge  0.239  0.544  0.020
S  0.002  0.113  0.764
S  0.008  0.100  0.527
S  0.013  0.429  0.242
S  0.014  0.427  0.450
S  0.205  0.389  0.638
S  0.210  0.126  0.152
S  0.234  0.384  0.061
S  0.235  0.373  0.846

(2)
This entry pairs a crystal structure of Cs2CdGe2Se6 with its calculated PXRD pattern. Radiation: Cu Ka. Structure: a DFT-relaxed cell (PBE, Alexandria).

The 10 most intense peaks (10 to 90 degrees two-theta), in order of falling intensity:
| (hkl) | Position (°2θ) | intensity |
| --- | --- | --- |
| 0 2 4 | 31.00 | 100 |
| 0 1 5 | 22.59 | 92 |
| 2 0 2 | 28.29 | 81 |
| 0 0 6 | 21.61 | 72 |
| 2 2 0 | 48.30 | 60 |
| 1 1 0 | 23.61 | 59 |
| 1 2 5 | 40.90 | 58 |
| 2 0 8 | 40.23 | 40 |
| 2 0 5 | 32.90 | 36 |
| 2 2 6 | 53.49 | 34 |

Cell and atoms:
abc: 7.5368 7.5368 24.6758
angles: 90.00 90.00 120.00
Space group R-3m (No. 166, hexagonal axes)
One atom of each set of equivalent atoms:
Cs  0.0000  0.0000  0.2216
Cd  0.0000  0.0000  0.0000
Ge  0.0000  0.0000  0.4074
Se  0.0174  0.5087  0.7485

(3)
This entry pairs a crystal structure of Cs2CdGeSe4 with its calculated PXRD pattern. Radiation: Cu Ka. Structure: a DFT-relaxed cell (PBE, Alexandria).

The 10 most intense peaks (10 to 90 degrees two-theta), in order of falling intensity:
| (hkl) | Position (°2θ) | intensity |
| --- | --- | --- |
| 1 3 5 | 28.66 | 100 |
| 1 3 3 | 25.04 | 96 |
| 0 2 6 | 24.03 | 69 |
| 2 0 6 | 34.39 | 56 |
| 0 0 4 | 13.74 | 48 |
| 2 6 0 | 46.49 | 47 |
| 1 3 1 | 23.02 | 38 |
| 2 2 0 | 29.87 | 34 |
| 2 0 10 | 44.70 | 31 |
| 0 6 6 | 42.72 | 30 |

Cell and atoms:
abc: 6.560 14.590 25.788
angles: 90.00 90.00 90.00
Space group Fddd (No. 70, origin choice 2)
One atom of each set of equivalent atoms:
Cs  0.125  0.125  0.306
Cd  0.125  0.125  0.125
Ge  0.125  0.125  0.625
Se  0.092  0.280  0.823

(4)
This entry pairs a crystal structure of CsCd2GeSe4 with its calculated PXRD pattern. Radiation: Cu Ka. Structure: a DFT-relaxed cell (PBE, Alexandria).

The 10 most intense peaks (10 to 90 degrees two-theta), in order of falling intensity:
| (hkl) | Position (°2θ) | intensity |
| --- | --- | --- |
| 2 0 2 | 25.46 | 100 |
| 2 4 2 | 43.38 | 45 |
| 4 0 0 | 34.52 | 33 |
| 2 2 4 | 45.61 | 31 |
| 1 3 1 | 28.75 | 23 |
| 2 2 0 | 24.22 | 10 |
| 0 4 4 | 52.24 | 10 |
| 6 4 2 | 67.99 | 8 |
| 0 2 6 | 61.44 | 8 |
| 2 6 0 | 55.95 | 8 |

Cell and atoms:
abc: 10.386 10.401 9.462
angles: 90.00 90.00 90.00
Space group Fmm2 (No. 42)
One atom of each set of equivalent atoms:
Cs  0.000  0.000  0.000
Cd  0.250  0.250  0.250
Ge  0.000  0.000  0.500
Se  0.000  0.189  0.651
Se  0.189  0.000  0.348

(5)
This entry pairs a crystal structure of Cs3CdH5 with its calculated PXRD pattern. Radiation: Cu Ka. Structure: a DFT-relaxed cell (PBE, Alexandria).

The 10 most intense peaks (10 to 90 degrees two-theta), in order of falling intensity:
| (hkl) | Position (°2θ) | intensity |
| --- | --- | --- |
| 2 0 2 | 25.40 | 100 |
| 2 1 1 | 24.70 | 40 |
| 0 0 4 | 28.04 | 29 |
| 2 2 0 | 30.07 | 24 |
| 2 0 6 | 48.06 | 24 |
| 2 1 3 | 31.81 | 23 |
| 2 2 4 | 41.58 | 20 |
| 4 1 1 | 45.04 | 13 |
| 4 0 2 | 45.45 | 10 |
| 4 1 3 | 49.61 | 10 |

Cell and atoms:
abc: 8.405 8.405 12.727
angles: 90.00 90.00 90.00
Space group I4/mcm (No. 140)
One atom of each set of equivalent atoms:
Cs  0.000  0.000  0.250
Cs  0.181  0.319  0.000
Cd  0.000  0.500  0.250
H  0.000  0.000  0.000
H  0.125  0.375  0.337

(6)
This entry pairs a crystal structure of Cs4CdH5 with its calculated PXRD pattern. Radiation: Cu Ka. Structure: a DFT-relaxed cell (PBE, Alexandria).

The 10 most intense peaks (10 to 90 degrees two-theta), in order of falling intensity:
| (hkl) | Position (°2θ) | intensity |
| --- | --- | --- |
| 1 2 1 | 25.32 | 100 |
| 3 1 0 | 29.62 | 32 |
| 3 1 2 | 41.72 | 28 |
| 4 3 1 | 50.02 | 26 |
| 0 0 2 | 28.71 | 19 |
| 1 2 3 | 48.85 | 15 |
| 2 4 2 | 52.00 | 11 |
| 2 4 0 | 42.38 | 11 |
| 4 3 3 | 66.63 | 9 |
| 3 6 1 | 67.59 | 5 |

Cell and atoms:
abc: 9.537 9.537 6.218
angles: 90.00 90.00 90.00
Space group I4 (No. 79)
One atom of each set of equivalent atoms:
Cs  0.126  0.715  0.000
Cd  0.000  0.000  0.550
H  0.000  0.000  0.861
H  0.060  0.793  0.492

(7)
This entry pairs a crystal structure of CsK3Cd2H8 with its calculated PXRD pattern. Radiation: Cu Ka. Structure: a DFT-relaxed cell (PBE, Alexandria).

The 10 most intense peaks (10 to 90 degrees two-theta), in order of falling intensity:
| (hkl) | Position (°2θ) | intensity |
| --- | --- | --- |
| 0 1 2 | 24.94 | 100 |
| 1 1 0 | 29.67 | 74 |
| 1 0 1 | 19.28 | 56 |
| 1 1 3 | 40.75 | 31 |
| 2 0 2 | 39.14 | 30 |
| 1 2 2 | 49.88 | 28 |
| 1 1 4 | 47.88 | 17 |
| 3 0 0 | 52.66 | 14 |
| 3 0 3 | 60.30 | 12 |
| 0 2 1 | 35.63 | 11 |

Cell and atoms:
abc: 6.0211 6.0211 9.7961
angles: 90.00 90.00 120.00
Space group P-3m1 (No. 164)
One atom of each set of equivalent atoms:
Cs  0.0000  0.0000  0.0000
K  0.0000  0.0000  0.5000
K  0.3333  0.6667  0.2674
Cd  0.3333  0.6667  0.7025
H  0.1666  0.3332  0.7602
H  0.3333  0.6667  0.5174

(8)
This entry pairs a crystal structure of CsKCdH3 with its calculated PXRD pattern. Radiation: Cu Ka. Structure: a DFT-relaxed cell (PBE, Alexandria).

The 10 most intense peaks (10 to 90 degrees two-theta), in order of falling intensity:
| (hkl) | Position (°2θ) | intensity |
| --- | --- | --- |
| 1 1 0 | 27.63 | 100 |
| 1 0 2 | 26.27 | 75 |
| 1 1 2 | 34.84 | 55 |
| 0 0 2 | 20.82 | 36 |
| 1 1 4 | 51.33 | 34 |
| 1 0 0 | 15.85 | 29 |
| 2 0 2 | 38.49 | 27 |
| 2 1 2 | 48.03 | 27 |
| 3 0 0 | 48.85 | 20 |
| 3 0 2 | 53.65 | 16 |

Cell and atoms:
abc: 6.4578 6.4578 8.5344
angles: 90.00 90.00 120.00
Space group P6_3/mmc (No. 194)
One atom of each set of equivalent atoms:
Cs  0.3333  0.6667  0.2500
K  0.0000  0.0000  0.0000
Cd  0.3333  0.6667  0.7500
H  0.1717  0.3434  0.7500

(9)
This entry pairs a crystal structure of CsNaCdH4 with its calculated PXRD pattern. Radiation: Cu Ka. Structure: a DFT-relaxed cell (PBE, Alexandria).

The 10 most intense peaks (10 to 90 degrees two-theta), in order of falling intensity:
| (hkl) | Position (°2θ) | intensity |
| --- | --- | --- |
| 0 1 2 | 26.58 | 100 |
| 1 1 0 | 22.14 | 84 |
| 1 0 -2 | 24.62 | 56 |
| 1 2 -2 | 38.31 | 46 |
| 0 2 0 | 28.87 | 42 |
| 2 1 -2 | 39.06 | 21 |
| 0 1 3 | 36.79 | 18 |
| 0 3 2 | 49.79 | 17 |
| 3 1 1 | 58.19 | 16 |
| 2 1 -1 | 36.28 | 15 |

Cell and atoms:
abc: 5.430 6.184 8.207
angles: 90.00 103.56 90.00
Space group P2_1/m (No. 11)
One atom of each set of equivalent atoms:
Cs  0.219  0.250  0.117
Na  0.181  0.750  0.503
Cd  0.361  0.250  0.696
H  0.155  0.013  0.709
H  0.351  0.750  0.140
H  0.404  0.250  0.482